# SrMo2P4O16
Theoretical powder XRD pattern, λ = 1.5418 Å (Cu Kα). Input: a crystal structure in the Materials Project, relaxed with PBE+U.
Intensities are scaled so that the largest is 100.

Largest 8 diffraction maxima, by angle, 2θ from 10° to 90°:
18.13°, I = 80.8, (1 1 0)
18.34°, I = 36.9, (1 1 -2)
21.53°, I = 55.3, (0 1 2)
24.86°, I = 30.2, (2 1 -2)
25.20°, I = 48.6, (1 2 -1)
26.73°, I = 100.0, (2 1 -3)
29.99°, I = 52.4, (1 0 -4)
30.79°, I = 48.1, (2 1 0)

Cell and atoms:
```
data_SrMo2P4O16
_symmetry_space_group_name_H-M 'P 1 21/c 1'
_symmetry_Int_Tables_number 14
_symmetry_space_group_name_Hall '-P 2ybc'
_cell_length_a 8.0440
_cell_length_b 7.8701
_cell_length_c 12.4822
_cell_angle_alpha 90.00
_cell_angle_beta 129.03
_cell_angle_gamma 90.00
loop_
_atom_site_label
_atom_site_fract_x
_atom_site_fract_y
_atom_site_fract_z
Sr1 0.0000 0.0000 0.0000
Mo1 0.3879 0.2202 0.8360
P1 0.0368 0.6152 0.2118
P2 0.3453 0.0986 0.5634
O1 0.0831 0.1496 0.2299
O2 0.0970 0.7310 0.6729
O3 0.1374 0.0060 0.4322
O4 0.2174 0.0116 0.8086
O5 0.2790 0.2055 0.6350
O6 0.3693 0.6215 0.5848
O7 0.4280 0.2201 0.5104
O8 0.4975 0.0397 0.3401
```